[1]
# Be17TcMo
Computed powder diffraction line list, copper Kα. Input: a crystal structure in Alexandria, relaxed with PBE.

Cell and atoms:
```
Be17TcMo
1.0
3.633 2.097 3.524
-3.633 2.097 3.524
0.000 -4.195 3.524
Be Tc Mo
17 1 1
Cartesian
0.000 0.000 0.551
-1.109 -2.303 5.152
-2.549 0.191 5.152
0.000 -2.076 3.401
-1.798 1.038 3.401
0.000 0.000 2.678
-1.795 -1.037 6.760
1.109 -2.303 5.152
-1.439 2.112 5.152
0.000 -2.025 7.048
-1.754 1.013 7.048
1.798 1.038 3.401
1.795 -1.037 6.760
0.000 2.073 6.760
2.549 0.191 5.152
1.439 2.112 5.152
1.754 1.013 7.048
0.000 0.000 8.641
0.000 0.000 5.205
```

Most intense lines, 2θ from 10° to 80°, most intense first:
2θ (°)	I_rel
24.50	100
35.49	96
16.39	68
50.65	52
43.13	36
25.27	32
21.96	30
50.23	28
74.11	22
29.62	20
38.81	18
36.89	16

=====

[2]
# ThBeMo
Computed powder diffraction line list, copper Kα. Input: a crystal structure in Alexandria, relaxed with PBE.

Cell and atoms:
```
ThBeMo
1.0
0.000 5.693 9.405
2.269 0.000 9.405
2.269 5.693 0.000
Th Be Mo
4 4 4
Cartesian
1.702 0.157 7.054
2.837 3.003 11.756
1.702 8.383 7.054
2.837 11.229 11.756
1.702 4.270 5.341
1.702 4.270 8.767
2.837 7.116 10.043
2.837 7.116 13.469
1.702 4.270 0.135
2.837 7.116 4.837
1.702 4.270 13.973
2.837 7.116 18.676
```

Most intense lines, 2θ from 10° to 80°, most intense first:
2θ (°)	I_rel
21.60	100
36.91	60
33.95	57
39.12	30
39.78	28
38.28	28
18.87	23
40.91	22
52.48	22
31.08	17
49.59	16
60.68	12

=====

[3]
# Be9MoW2
Computed powder diffraction line list, copper Kα. Input: a crystal structure in Alexandria, relaxed with PBE.

Cell and atoms:
```
Be9MoW2
1.0
4.410 0.000 0.000
-2.205 3.819 0.000
0.000 0.000 13.886
Be Mo W
18 2 4
Cartesian
0.000 0.000 0.000
0.000 0.000 3.472
0.000 0.000 6.943
0.000 0.000 10.415
0.000 1.290 1.782
0.000 1.290 5.161
-1.088 3.175 1.782
-1.088 3.175 5.161
0.000 2.546 3.472
1.117 0.645 8.725
1.117 0.645 12.104
1.088 3.175 1.782
1.088 3.175 5.161
2.205 1.273 10.415
3.293 0.645 8.725
3.293 0.645 12.104
2.205 2.530 8.725
2.205 2.530 12.104
0.000 2.546 10.415
2.205 1.273 3.472
0.000 2.546 7.395
0.000 2.546 13.434
2.205 1.273 0.452
2.205 1.273 6.491
```

Most intense lines, 2θ from 10° to 80°, most intense first:
2θ (°)	I_rel
12.75	100
40.15	97
40.93	79
23.29	72
48.93	61
24.17	52
25.66	44
43.04	34
34.93	32
74.01	32
26.64	29
58.67	27

=====

Q: Which formula does entry 1 have?
A: Be17TcMo

=====

What did the second record say?
# ThBeMo
Computed powder diffraction line list, copper Kα. Input: a crystal structure in Alexandria, relaxed with PBE.

Cell and atoms:
```
ThBeMo
1.0
0.000 5.693 9.405
2.269 0.000 9.405
2.269 5.693 0.000
Th Be Mo
4 4 4
Cartesian
1.702 0.157 7.054
2.837 3.003 11.756
1.702 8.383 7.054
2.837 11.229 11.756
1.702 4.270 5.341
1.702 4.270 8.767
2.837 7.116 10.043
2.837 7.116 13.469
1.702 4.270 0.135
2.837 7.116 4.837
1.702 4.270 13.973
2.837 7.116 18.676
```

Most intense lines, 2θ from 10° to 80°, most intense first:
2θ (°)	I_rel
21.60	100
36.91	60
33.95	57
39.12	30
39.78	28
38.28	28
18.87	23
40.91	22
52.48	22
31.08	17
49.59	16
60.68	12

=====

Q: What is the formula in the third record?
A: Be9MoW2